1.
CrCu3PbSe4: computed X-ray diffraction stick pattern (Cu Kα), based on the GGA-PBE geometry in the Materials Project.

The 10 most intense peaks (10 to 80 degrees two-theta), in order of rising 2θ:
| two_theta | I_rel | h k l |
| --- | --- | --- |
| 20.9 | 412 | 1 1 0 |
| 25.7 | 1000 | 1 1 1 |
| 33.3 | 104 | 2 1 0 |
| 36.6 | 217 | 2 1 1 |
| 42.5 | 1000 | 2 2 0 |
| 50.3 | 449 | 3 1 1 |
| 57.3 | 143 | 3 2 1 |
| 61.7 | 151 | 4 0 0 |
| 67.9 | 164 | 3 3 1 |
| 77.8 | 287 | 4 2 2 |

```
data_CrCu3PbSe4
_chemical_formula_sum 'Cr1 Cu3 Pb1 Se4'
_space_group_name_H-M_alt 'P -4 3 m'
_space_group_IT_number 215
_space_group_name_Hall 'P -4 2 3'
_cell_length_a 6.0148
_cell_length_b 6.0148
_cell_length_c 6.0148
_cell_angle_alpha 90.00
_cell_angle_beta 90.00
_cell_angle_gamma 90.00
loop_
_atom_site_label
_atom_site_type_symbol
_atom_site_fract_x
_atom_site_fract_y
_atom_site_fract_z
Cr1 Cr 0.0000 0.0000 0.0000
Cu1 Cu 0.0000 0.0000 0.5000
Pb1 Pb 0.5000 0.5000 0.5000
Se1 Se 0.2278 0.2278 0.2278
```

***

2.
KNaNbOF5: computed X-ray diffraction stick pattern (Cu Kα), based on the GGA-PBE geometry in the Materials Project.

The 10 most intense peaks (10 to 80 degrees two-theta), in order of rising 2θ:
| two_theta | I_rel | h k l |
| --- | --- | --- |
| 10.2 | 269 | 0 0 1 |
| 17.8 | 1000 | 1 0 1 |
| 20.6 | 331 | 0 0 2 |
| 20.7 | 656 | 1 1 0 |
| 29.3 | 878 | 1 1 2 |
| 34.6 | 211 | 2 1 1 |
| 42.0 | 494 | 2 2 0 |
| 47.3 | 247 | 2 2 2 |
| 52.1 | 219 | 3 1 2 |
| 60.8 | 230 | 2 2 4 |

```
data_KNaNbOF5
_chemical_formula_sum 'K2 Na2 Nb2 O2 F10'
_space_group_name_H-M_alt 'P 4/n m m'
_space_group_IT_number 129
_cell_length_a 6.0787
_cell_length_b 6.0787
_cell_length_c 8.6397
_cell_angle_alpha 90.00
_cell_angle_beta 90.00
_cell_angle_gamma 90.00
loop_
_space_group_symop_operation_xyz
'x,y,z'
'-x,-y,-z'
'-y+1/2,x,z'
'y+1/2,-x,-z'
'-x+1/2,-y+1/2,z'
'x+1/2,y+1/2,-z'
'y,-x+1/2,z'
'-y,x+1/2,-z'
'x+1/2,-y,-z'
'-x+1/2,y,z'
'-y,-x,-z'
'y,x,z'
'-x,y+1/2,-z'
'x,-y+1/2,z'
'y+1/2,x+1/2,-z'
'-y+1/2,-x+1/2,z'
loop_
_atom_site_label
_atom_site_type_symbol
_atom_site_fract_x
_atom_site_fract_y
_atom_site_fract_z
K1 K 0.2500 0.7500 0.0000
Na1 Na 0.2500 0.2500 0.2679
Nb1 Nb 0.2500 0.2500 0.7372
O1 O 0.2500 0.2500 0.5339
F1 F 0.0212 0.0212 0.7753
F2 F 0.2500 0.2500 0.9900
```

***

3.
EuP3: computed X-ray diffraction stick pattern (Cu Kα), based on the GGA-PBE geometry in the Materials Project.

The 10 most intense peaks (10 to 80 degrees two-theta), in order of rising 2θ:
| two_theta | I_rel | h k l |
| --- | --- | --- |
| 22.0 | 251 | 0 0 2 |
| 24.2 | 329 | 0 2 0 |
| 27.4 | 824 | 3 1 0 |
| 30.0 | 301 | 2 2 -1 |
| 31.4 | 262 | 3 1 -2 |
| 31.7 | 407 | 3 1 1 |
| 32.9 | 1000 | 0 2 2 |
| 33.4 | 297 | 2 0 -3 |
| 44.6 | 241 | 3 3 0 |
| 61.2 | 221 | 2 2 -5 |

```
data_EuP3
_chemical_formula_sum 'Eu8 P24'
_space_group_name_H-M_alt 'C 1 2/m 1'
_space_group_IT_number 12
_cell_length_a 11.2034
_cell_length_b 7.3411
_cell_length_c 8.3299
_cell_angle_alpha 90.00
_cell_angle_beta 103.53
_cell_angle_gamma 90.00
loop_
_space_group_symop_operation_xyz
'x,y,z'
'-x,-y,-z'
'-x,y,-z'
'x,-y,z'
'x+1/2,y+1/2,z'
'-x+1/2,-y+1/2,-z'
'-x+1/2,y+1/2,-z'
'x+1/2,-y+1/2,z'
loop_
_atom_site_label
_atom_site_type_symbol
_atom_site_fract_x
_atom_site_fract_y
_atom_site_fract_z
Eu1 Eu 0.0426 0.0000 0.2421
Eu2 Eu 0.2072 0.5000 0.2729
P1 P 0.0766 0.5000 0.8669
P2 P 0.1007 0.2585 0.5221
P3 P 0.1488 0.2416 0.9902
P4 P 0.1787 0.5000 0.6623
```

***

4.
LiCuF3: computed X-ray diffraction stick pattern (Cu Kα), based on the GGA-PBE geometry in the Materials Project.

The 10 most intense peaks (10 to 80 degrees two-theta), in order of rising 2θ:
| two_theta | I_rel | h k l |
| --- | --- | --- |
| 20.3 | 177 | 1 0 0 |
| 23.7 | 116 | 1 0 2 |
| 27.4 | 1000 | 1 0 3 |
| 35.5 | 108 | 1 1 0 |
| 37.6 | 107 | 1 1 2 |
| 40.2 | 126 | 1 1 3 |
| 43.1 | 105 | 2 0 2 |
| 47.6 | 179 | 1 1 5 |
| 52.1 | 236 | 1 1 6 |
| 64.1 | 123 | 3 0 1 |

```
data_LiCuF3
_chemical_formula_sum 'Li6 Cu6 F18'
_space_group_name_H-M_alt 'P 61 2 2'
_space_group_IT_number 178
_space_group_name_Hall 'P 61 2 (0 0 5)'
_cell_length_a 5.0569
_cell_length_b 5.0569
_cell_length_c 14.6117
_cell_angle_alpha 90.00
_cell_angle_beta 90.00
_cell_angle_gamma 120.00
loop_
_atom_site_label
_atom_site_type_symbol
_atom_site_fract_x
_atom_site_fract_y
_atom_site_fract_z
Li1 Li 0.0585 0.1171 0.2500
Cu1 Cu 0.2861 0.5722 0.7500
F1 F 0.0000 0.2409 0.8333
F2 F 0.1096 0.4085 0.1570
```